For AcSm4Te5, a structure optimized by DFT (GGA-PBE) gives the calculated X-ray powder pattern in this record (Cu Ka).
No peak broadening, texture or thermal motion is included.

Atomic structure:
```
data_AcSm4Te5
_chemical_formula_sum 'Ac2 Sm8 Te10'
_cell_length_a 4.5089
_cell_length_b 4.5089
_cell_length_c 31.8994
_cell_angle_alpha 90.00
_cell_angle_beta 90.00
_cell_angle_gamma 90.00
_space_group_name_H-M_alt 'I 4/m m m'
_space_group_IT_number 139
_space_group_name_Hall '-I 4 2'
loop_
_atom_site_label
_atom_site_type_symbol
_atom_site_fract_x
_atom_site_fract_y
_atom_site_fract_z
Ac1 Ac 0.0000 0.0000 0.0000
Sm1 Sm 0.0000 0.0000 0.2046
Sm2 Sm 0.0000 0.0000 0.4014
Te1 Te 0.0000 0.0000 0.1047
Te2 Te 0.0000 0.0000 0.3024
Te3 Te 0.0000 0.0000 0.5000
```

Principal peaks in the range 15 to 90 degrees two-theta, sorted by position:
- d = 3.189 Å, I = 1000, hkl 1 1 0
- d = 2.255 Å, I = 759, hkl 2 0 0
- d = 1.841 Å, I = 273, hkl 2 0 10
- d = 1.594 Å, I = 126, hkl 2 2 0
- d = 1.426 Å, I = 343, hkl 3 1 0
- d = 1.302 Å, I = 249, hkl 3 1 10